Record 1
# YSe2
Simulated powder X-ray diffraction pattern, Cu Kα (λ = 1.5418 Å). Input: the GGA-PBE geometry in the Materials Project.
No peak broadening, texture or thermal motion is included.

Crystal structure
Lattice parameters (Å, degrees): 4.077 4.077 8.363 90.00 90.00 90.00
Positions (direct):
1 Y 0.250 0.250 0.226
2 Y 0.750 0.750 0.774
3 Se 0.250 0.250 0.870
4 Se 0.250 0.750 0.500
5 Se 0.750 0.250 0.500
6 Se 0.750 0.750 0.130

Top 12 peaks for 2θ = 10–90°, by angle:
2θ (°)	I_rel
30.62	15
31.02	22
32.11	40
32.86	100
37.91	90
39.14	49
44.44	61
55.87	32
60.69	26
64.66	19
74.45	18
77.45	34


Record 2
# CaSn2P2O8
Simulated powder X-ray diffraction pattern, Cu Kα (λ = 1.5418 Å). Input: the GGA-PBE geometry in the Materials Project.
No peak broadening, texture or thermal motion is included.

Crystal structure
Lattice parameters (Å, degrees): 9.445 9.445 19.308 116.03 116.03 32.45
Positions (direct):
1 Ca 0.032 0.636 0.837
2 Ca 0.364 0.968 0.663
3 Ca 0.636 0.032 0.337
4 Ca 0.968 0.364 0.163
5 Sn 0.000 0.500 0.000
6 Sn 0.131 0.682 0.522
7 Sn 0.177 0.823 0.750
8 Sn 0.318 0.869 0.978
9 Sn 0.500 0.000 0.500
10 Sn 0.682 0.131 0.022
11 Sn 0.823 0.177 0.250
12 Sn 0.869 0.318 0.478
13 P 0.006 0.450 0.365
14 P 0.221 0.734 0.384
15 P 0.266 0.779 0.116
16 P 0.450 0.006 0.865
17 P 0.550 0.994 0.135
18 P 0.734 0.221 0.884
19 P 0.779 0.266 0.616
20 P 0.994 0.550 0.635
21 O 0.027 0.827 0.420
22 O 0.047 0.671 0.641
23 O 0.064 0.842 0.304
24 O 0.091 0.449 0.709
25 O 0.124 0.733 0.058
26 O 0.148 0.296 0.569
27 O 0.158 0.936 0.196
28 O 0.173 0.973 0.080
29 O 0.247 0.308 0.894
30 O 0.267 0.876 0.442
31 O 0.296 0.148 0.069
32 O 0.308 0.247 0.394
33 O 0.329 0.953 0.859
34 O 0.428 0.483 0.875
35 O 0.449 0.091 0.209
36 O 0.483 0.428 0.375
37 O 0.517 0.572 0.625
38 O 0.551 0.909 0.791
39 O 0.572 0.517 0.125
40 O 0.671 0.047 0.141
41 O 0.692 0.753 0.606
42 O 0.704 0.852 0.931
43 O 0.733 0.124 0.558
44 O 0.753 0.692 0.106
45 O 0.827 0.027 0.920
46 O 0.842 0.064 0.804
47 O 0.852 0.704 0.431
48 O 0.876 0.267 0.942
49 O 0.909 0.551 0.291
50 O 0.936 0.158 0.696
51 O 0.953 0.329 0.359
52 O 0.973 0.173 0.580

Top 12 peaks for 2θ = 10–90°, by angle:
2θ (°)	I_rel
10.30	82
17.69	60
22.49	43
25.78	79
27.91	35
28.84	31
29.04	100
30.01	92
32.36	83
33.97	43
39.44	42
45.91	32